# 1
Calculated powder XRD pattern
Compound: LaH6S3N3O9
Radiation: Cu Kα (weighted mean of Kα1 and Kα2)
Structure: DFT lattice parameters and positions (GGA-PBE)
Neutral-atom scattering factors, no anomalous dispersion.

Principal peaks in the range 2θ from 10° to 80°, low angle first:
| index | 2θ/deg | Rel. int. |
| --- | --- | --- |
| 1 0 0 | 10.2 | 100 |
| 1 0 1 | 18.2 | 34 |
| 1 1 1 | 23.3 | 41 |
| 2 0 1 | 25.5 | 78 |
| 1 2 0 | 27.2 | 18 |
| 3 0 0 | 30.9 | 18 |
| 1 2 1 | 31.2 | 52 |
| 3 1 1 | 40.5 | 20 |
| 3 0 2 | 43.8 | 26 |
| 3 2 1 | 48.2 | 21 |

Structure:
```
data_LaH6S3N3O9
_cell_length_a 10.0279
_cell_length_b 10.0279
_cell_length_c 5.8989
_cell_angle_alpha 90.00
_cell_angle_beta 90.00
_cell_angle_gamma 120.00
_space_group_name_H-M_alt 'P 63'
_space_group_IT_number 173
_space_group_name_Hall 'P 6c'
loop_
_atom_site_label
_atom_site_type_symbol
_atom_site_fract_x
_atom_site_fract_y
_atom_site_fract_z
La1 La 0.3333 0.6667 0.0000
H1 H 0.0685 0.3337 0.4925
H2 H 0.0951 0.2028 0.6266
S1 S 0.0858 0.6855 0.5015
N1 N 0.1269 0.2741 0.4881
O1 O 0.0816 0.3879 0.0015
O2 O 0.1456 0.6521 0.7092
O3 O 0.1475 0.6529 0.2967
```


# 2
Calculated powder XRD pattern
Compound: NaLaH2S2O9
Radiation: Cu Kα (weighted mean of Kα1 and Kα2)
Structure: DFT lattice parameters and positions (GGA-PBE)
Neutral-atom scattering factors, no anomalous dispersion.

Principal peaks in the range 2θ from 10° to 80°, low angle first:
| index | 2θ/deg | Rel. int. |
| --- | --- | --- |
| 1 0 0 | 14.2 | 61 |
| 1 0 1 | 15.8 | 100 |
| 0 0 3 | 20.8 | 28 |
| 1 1 0 | 24.7 | 58 |
| 2 0 0 | 28.6 | 82 |
| 1 0 4 | 31.4 | 83 |
| 0 2 3 | 35.6 | 22 |
| 2 1 2 | 40.8 | 33 |
| 3 -2 4 | 47.9 | 60 |
| 3 0 4 | 52.5 | 20 |

Structure:
```
data_NaLaH2S2O9
_cell_length_a 7.2026
_cell_length_b 7.2026
_cell_length_c 12.8159
_cell_angle_alpha 90.00
_cell_angle_beta 90.00
_cell_angle_gamma 120.00
_space_group_name_H-M_alt 'P 31'
_space_group_IT_number 144
_space_group_name_Hall 'P 31'
loop_
_atom_site_label
_atom_site_type_symbol
_atom_site_fract_x
_atom_site_fract_y
_atom_site_fract_z
Na1 Na 0.0026 0.4782 0.0000
La1 La 0.4408 0.0020 0.1666
H1 H 0.0379 0.9415 0.8723
H2 H 0.0920 0.0588 0.4563
S1 S 0.0032 0.4384 0.7532
S2 S 0.4423 0.0022 0.9136
O1 O 0.0936 0.0049 0.1637
O2 O 0.1204 0.6189 0.6779
O3 O 0.1283 0.3748 0.3119
O4 O 0.1361 0.6210 0.1766
O5 O 0.1542 0.4066 0.8201
O6 O 0.3700 0.1276 0.3551
O7 O 0.4101 0.1529 0.8467
O8 O 0.4966 0.3769 0.6554
O9 O 0.5186 0.3838 0.1569
```


# 3
Calculated powder XRD pattern
Compound: NaLaH2S2O9
Radiation: Cu Kα (weighted mean of Kα1 and Kα2)
Structure: DFT lattice parameters and positions (GGA-PBE)
Neutral-atom scattering factors, no anomalous dispersion.

Principal peaks in the range 2θ from 10° to 80°, low angle first:
| index | 2θ/deg | Rel. int. |
| --- | --- | --- |
| 1 0 0 | 14.3 | 55 |
| 1 0 1 | 15.8 | 100 |
| 0 0 3 | 20.4 | 21 |
| 1 1 0 | 24.9 | 50 |
| 2 0 0 | 28.8 | 72 |
| 1 0 4 | 31.0 | 80 |
| 0 1 5 | 37.3 | 22 |
| 2 1 2 | 41.0 | 29 |
| 1 2 4 | 47.8 | 52 |
| 3 0 4 | 52.5 | 27 |

Structure:
```
data_NaLaH2S2O9
_cell_length_a 7.1495
_cell_length_b 7.1495
_cell_length_c 13.0588
_cell_angle_alpha 90.00
_cell_angle_beta 90.00
_cell_angle_gamma 120.00
_space_group_name_H-M_alt 'P 31 2 1'
_space_group_IT_number 152
_space_group_name_Hall 'P 31 2"'
loop_
_atom_site_label
_atom_site_type_symbol
_atom_site_fract_x
_atom_site_fract_y
_atom_site_fract_z
Na1 Na 0.0000 0.4722 0.1667
La1 La 0.0000 0.4357 0.6667
H1 H 0.0468 0.0959 0.3723
S1 S 0.0122 0.4528 0.9127
O1 O 0.0000 0.0807 0.6667
O2 O 0.1200 0.6159 0.3471
O3 O 0.1272 0.3870 0.4859
O4 O 0.1312 0.6370 0.8403
O5 O 0.1634 0.4098 0.9731
```